For Pm2Dy8Th3, a cell relaxed with GGA-PBE gives the computed powder diffractogram in this record (λ = 1.5418 Å (Cu Kα)).
Peak positions follow from Bragg's law for the DFT cell and can differ from measured ones.

Structural model:
Lattice parameters (Å, degrees): 11.705 21.010 3.482 90.00 90.00 90.00
Space group Pbam (No. 55)
Asymmetric unit:
1 Pm 0.177 0.099 0.000 x4
2 Dy 0.041 0.573 0.000 x4
3 Dy 0.060 0.842 0.500 x4
4 Dy 0.132 0.287 0.000 x4
5 Dy 0.210 0.449 0.500 x4
6 Th 0.000 0.000 0.500 x2
7 Th 0.139 0.701 0.500 x4

Top 6 peaks for 2θ from 5° to 70°, in order of rising 2θ:
- 30.2°, intensity 67, (2 1 1)
- 30.8°, intensity 71, (1 7 0)
- 31.3°, intensity 60, (3 5 0)
- 31.8°, intensity 100, (4 2 0)
- 34.8°, intensity 53, (3 1 1)
- 36.4°, intensity 31, (0 6 1)